No. 1
Starting from DFT lattice parameters and positions (PBE+U), the powder XRD pattern of Ba2MgCuNi2F14 was computed for Cu Kα (λ = 1.5418 Å).

Top 8 peaks for 10 to 80 degrees two-theta, sorted by position:
24.48 deg, I = 48.3, (0 0 4); 25.46 deg, I = 100.0, (1 -1 0); 25.93 deg, I = 71.4, (1 2 0); 28.03 deg, I = 53.1, (1 2 2); 28.94 deg, I = 46.3, (0 2 -2); 29.40 deg, I = 79.1, (1 0 4); 33.73 deg, I = 54.8, (2 1 0); 41.56 deg, I = 43.3, (0 3 -2)

Crystal structure
Unit cell a=5.331 b=7.321 c=14.591 alpha=87.66 beta=85.55 gamma=69.63
Space group P1 (No. 1)
Unique sites:
Ba1 0.000 0.000 0.000 [1 per cell]
Ba2 0.058 0.991 0.487 [1 per cell]
Ba3 0.622 0.788 0.262 [1 per cell]
Ba4 0.681 0.780 0.749 [1 per cell]
Mg1 0.337 0.356 0.133 [1 per cell]
Mg2 0.343 0.424 0.616 [1 per cell]
Cu1 0.340 0.390 0.375 [1 per cell]
Cu2 0.341 0.390 0.875 [1 per cell]
Ni1 0.694 0.620 0.000 [1 per cell]
Ni2 0.718 0.603 0.504 [1 per cell]
Ni3 0.962 0.177 0.246 [1 per cell]
Ni4 0.988 0.160 0.749 [1 per cell]
F1 0.020 0.619 0.917 [1 per cell]
F2 0.050 0.904 0.293 [1 per cell]
F3 0.117 0.239 0.860 [1 per cell]
F4 0.147 0.912 0.804 [1 per cell]
F5 0.250 0.085 0.144 [1 per cell]
F6 0.266 0.501 0.753 [1 per cell]
F7 0.270 0.166 0.330 [1 per cell]
F8 0.282 0.295 0.497 [1 per cell]
F9 0.300 0.161 0.672 [1 per cell]
F10 0.383 0.619 0.077 [1 per cell]
F11 0.398 0.485 0.252 [1 per cell]
F12 0.410 0.614 0.419 [1 per cell]
F13 0.417 0.279 0.997 [1 per cell]
F14 0.431 0.695 0.606 [1 per cell]
F15 0.535 0.869 0.946 [1 per cell]
F16 0.565 0.541 0.890 [1 per cell]
F17 0.630 0.876 0.456 [1 per cell]
F18 0.662 0.161 0.833 [1 per cell]
F19 0.693 0.151 0.163 [1 per cell]
F20 0.710 0.346 0.548 [1 per cell]
F21 0.717 0.240 0.363 [1 per cell]
F22 0.804 0.410 0.718 [1 per cell]
F23 0.810 0.746 0.088 [1 per cell]
F24 0.873 0.034 0.661 [1 per cell]
F25 0.879 0.370 0.031 [1 per cell]
F26 0.963 0.540 0.387 [1 per cell]
F27 0.971 0.434 0.201 [1 per cell]
F28 0.988 0.629 0.586 [1 per cell]

No. 2
Starting from DFT lattice parameters and positions (PBE+U), the powder XRD pattern of Ba2CuMo2F14 was computed for Cu Kα (λ = 1.5418 Å).

Top 8 peaks for 10 to 80 degrees two-theta, sorted by position:
17.32 deg, I = 41.8, (1 1 0); 22.46 deg, I = 47.5, (0 0 4); 24.13 deg, I = 23.6, (4 0 0); 24.37 deg, I = 100.0, (3 1 0); 28.32 deg, I = 49.2, (1 1 -4); 28.68 deg, I = 20.2, (1 1 4); 33.85 deg, I = 23.6, (3 1 4); 37.07 deg, I = 27.0, (3 1 -5)

Crystal structure
Unit cell a=14.745 b=5.461 c=15.844 alpha=90.00 beta=92.12 gamma=90.00
Space group C2/c (No. 15)
Unique sites:
Ba1 0.171 0.084 0.133 [8 per cell]
Cu1 0.000 0.500 0.000 [4 per cell]
Mo1 0.127 0.037 0.376 [8 per cell]
F1 0.003 0.075 0.849 [8 per cell]
F2 0.058 0.429 0.102 [8 per cell]
F3 0.081 0.212 0.483 [8 per cell]
F4 0.123 0.303 0.293 [8 per cell]
F5 0.157 0.236 0.956 [8 per cell]
F6 0.186 0.162 0.783 [8 per cell]
F7 0.248 0.349 0.594 [8 per cell]